Calculated powder XRD pattern of TbAl2Ni6 for Cu Kα X-rays, from a structure optimized by DFT (GGA-PBE).
Kinematic intensities with the Lorentz-polarization factor, no thermal factor.

Main lines, sorted by position (10 to 80 degrees two-theta):
- 14.09 deg, I = 34
- 14.87 deg, I = 50
- 30.00 deg, I = 37
- 36.68 deg, I = 100
- 37.78 deg, I = 28
- 41.69 deg, I = 90
- 43.19 deg, I = 54
- 44.63 deg, I = 54
- 45.69 deg, I = 97
- 55.52 deg, I = 44

Crystal structure
```
TbAl2Ni6
1.0
-1.4471 3.3830 6.2834
1.4471 -3.3830 6.2834
1.4471 3.3830 -6.2834
Tb Al Ni
1 2 6
direct
0.0000 0.0000 0.0000
0.3558 0.8558 0.5000
0.6442 0.1442 0.5000
0.0091 0.3205 0.6887
0.3320 0.5000 0.8320
0.3682 0.6795 0.6887
0.6318 0.3205 0.3113
0.6680 0.5000 0.1680
0.9909 0.6795 0.3113
```